For Dy2ZnRh, a crystal structure in the Materials Project, relaxed with PBE gives the computed X-ray diffraction stick pattern in this record (Cu Kα, 1.54184 Å).

The 8 most intense peaks (2θ = 5–70°), sorted by position:
2θ (°)	d_spacing	I_rel	hkl
22.0	4.032	1.2	1 1 1
25.5	3.492	10.1	2 0 0
36.4	2.469	100.0	2 2 0
42.9	2.106	0.6	3 1 1
45.0	2.016	3.1	2 2 2
52.4	1.746	17.5	4 0 0
59.2	1.562	4.3	4 2 0
65.5	1.426	35.4	4 2 2

Structure:
Cell lengths 6.984, 6.984, 6.984 Å; angles 90.00, 90.00, 90.00 degrees
Atoms (fractional coordinates):
Dy (0.250, 0.250, 0.250)
Dy (0.250, 0.250, 0.750)
Dy (0.250, 0.750, 0.250)
Dy (0.250, 0.750, 0.750)
Dy (0.750, 0.250, 0.250)
Dy (0.750, 0.250, 0.750)
Dy (0.750, 0.750, 0.250)
Dy (0.750, 0.750, 0.750)
Zn (0.000, 0.000, 0.000)
Zn (0.000, 0.500, 0.500)
Zn (0.500, 0.000, 0.500)
Zn (0.500, 0.500, 0.000)
Rh (0.000, 0.000, 0.500)
Rh (0.000, 0.500, 0.000)
Rh (0.500, 0.000, 0.000)
Rh (0.500, 0.500, 0.500)